Calculated X-ray powder pattern of Ba2ErTm3O8 for Cu Kα X-rays, from a crystal structure in Alexandria, relaxed with PBE.
Neutral-atom scattering factors, no anomalous dispersion.

Principal peaks in the range 15° ≤ 2θ ≤ 90°, sorted by position:
2theta  I/Imax
24.8  38
28.9  66
29.9  100
30.3  67
31.6  51
36.1  27
47.5  36
48.1  27
50.8  48
53.1  45

Cell lengths 7.206, 7.206, 7.206 Å; angles 57.21, 57.21, 57.21 degrees
Fractional coordinates of all 14 atoms:
Ba: 0.000 0.000 0.000
Ba: 0.378 0.378 0.378
Er: 0.761 0.761 0.761
Tm: 0.373 0.373 0.886
Tm: 0.373 0.886 0.373
Tm: 0.886 0.373 0.373
O: 0.126 0.126 0.565
O: 0.126 0.565 0.126
O: 0.138 0.641 0.641
O: 0.147 0.147 0.147
O: 0.565 0.126 0.126
O: 0.620 0.620 0.620
O: 0.641 0.138 0.641
O: 0.641 0.641 0.138

Calculated X-ray powder pattern of BaErUO6 for Cu Kα X-rays, from a crystal structure in Alexandria, relaxed with PBE.
Neutral-atom scattering factors, no anomalous dispersion.

Principal peaks in the range 15° ≤ 2θ ≤ 90°, sorted by position:
2theta  I/Imax
26.3  100
26.7  13
27.2  26
27.5  27
28.8  54
34.9  14
43.5  15
45.0  12
46.4  30
54.2  19

Cell lengths 7.850, 7.850, 7.850 Å; angles 123.31, 118.17, 88.78 degrees
Fractional coordinates of all 18 atoms:
Ba: 0.322 0.072 0.250
Ba: 0.678 0.928 0.750
Er: 0.000 0.000 0.500
Er: 0.000 0.500 0.000
U: 0.000 0.500 0.500
U: 0.500 0.500 0.000
O: 0.076 0.419 0.257
O: 0.076 0.819 0.657
O: 0.100 0.850 0.250
O: 0.311 0.561 0.750
O: 0.338 0.181 0.757
O: 0.338 0.581 0.157
O: 0.662 0.419 0.843
O: 0.662 0.819 0.243
O: 0.689 0.439 0.250
O: 0.900 0.150 0.750
O: 0.924 0.181 0.343
O: 0.924 0.581 0.743